Calculated X-ray powder pattern of Ba2NaTcN6 for Cu Kα, from a GGA-PBE-relaxed structure.
No peak broadening, texture or thermal motion is included.

Crystal structure
```
Ba2NaTcN6
1.0
-3.0169 3.0169 4.2698
3.0169 -3.0169 4.2698
3.0169 3.0169 -4.2698
Ba Na Tc N
2 1 1 6
Direct
0.2500 0.7500 0.5000 Ba
0.7500 0.2500 0.5000 Ba
0.0000 0.0000 0.0000 Na
0.5000 0.5000 0.0000 Tc
0.2652 0.2771 0.5424 N
0.2711 0.2711 0.0000 N
0.2771 0.7348 0.0119 N
0.7229 0.2652 0.9881 N
0.7289 0.7289 0.0000 N
0.7348 0.7229 0.4576 N
```

Main lines, by angle (10° ≤ 2θ ≤ 80°):
Position (°2θ)  I (rel.)
18.00  14
20.81  10
29.60  100
36.47  13
42.36  30
47.65  6
52.53  40
61.45  18
69.67  18
77.48  6

Calculated X-ray powder pattern of Ba2NbNO3 for Cu Kα, from a GGA-PBE-relaxed structure.
No peak broadening, texture or thermal motion is included.

Crystal structure
```
Ba2NbNO3
1.0
6.6831 -2.9418 0.0000
6.6831 2.9418 0.0000
0.0000 0.0000 5.8447
Ba Nb N O
4 2 2 6
Direct
0.0925 0.6168 0.7500 Ba
0.3832 0.9075 0.7500 Ba
0.6168 0.0925 0.2500 Ba
0.9075 0.3832 0.2500 Ba
0.2693 0.7307 0.2500 Nb
0.7307 0.2693 0.7500 Nb
0.5000 0.5000 0.0000 N
0.5000 0.5000 0.5000 N
0.0000 0.0000 0.0000 O
0.0000 0.0000 0.5000 O
0.0864 0.6067 0.2500 O
0.3933 0.9136 0.2500 O
0.6067 0.0864 0.7500 O
0.9136 0.3933 0.7500 O
```

Main lines, by angle (10° ≤ 2θ ≤ 80°):
Position (°2θ)  I (rel.)
29.43  100
30.38  32
30.59  32
40.13  9
40.49  13
43.66  31
51.59  9
53.40  18
53.66  19
61.06  14

Calculated X-ray powder pattern of Ba3NdN3 for Cu Kα, from a GGA-PBE-relaxed structure.
No peak broadening, texture or thermal motion is included.

Crystal structure
```
Ba3NdN3
1.0
5.2866 -5.7862 0.0000
5.2866 5.7862 0.0000
0.0000 0.0000 5.8806
Ba Nd N
6 2 6
Direct
0.1042 0.8958 0.7500 Ba
0.1384 0.3822 0.7500 Ba
0.3822 0.1384 0.2500 Ba
0.6178 0.8616 0.7500 Ba
0.8616 0.6178 0.2500 Ba
0.8958 0.1042 0.2500 Ba
0.3347 0.6653 0.2500 Nd
0.6653 0.3347 0.7500 Nd
0.1350 0.8650 0.2500 N
0.1621 0.4037 0.2500 N
0.4037 0.1621 0.7500 N
0.5963 0.8379 0.2500 N
0.8379 0.5963 0.7500 N
0.8650 0.1350 0.7500 N
```

Main lines, by angle (10° ≤ 2θ ≤ 80°):
Position (°2θ)  I (rel.)
27.43  100
30.40  29
30.91  20
33.91  20
43.90  15
46.18  17
46.54  12
52.22  17
56.61  13
56.81  13

Calculated X-ray powder pattern of BaNiN for Cu Kα, from a GGA-PBE-relaxed structure.
No peak broadening, texture or thermal motion is included.

Crystal structure
```
BaNiN
1.0
9.6903 0.0000 0.0000
0.0000 13.7021 0.0000
0.0000 0.0000 5.4191
Ba Ni N
12 12 12
Direct
0.0033 0.2500 0.0197 Ba
0.1724 0.0882 0.4737 Ba
0.1724 0.4118 0.4737 Ba
0.3276 0.5882 0.9737 Ba
0.3276 0.9118 0.9737 Ba
0.4967 0.7500 0.5197 Ba
0.5033 0.2500 0.4803 Ba
0.6724 0.0882 0.0263 Ba
0.6724 0.4118 0.0263 Ba
0.8276 0.5882 0.5263 Ba
0.8276 0.9118 0.5263 Ba
0.9967 0.7500 0.9803 Ba
0.0000 0.0000 0.0000 Ni
0.0000 0.5000 0.0000 Ni
0.1460 0.6619 0.4413 Ni
0.1460 0.8381 0.4413 Ni
0.3540 0.1619 0.9413 Ni
0.3540 0.3381 0.9413 Ni
0.5000 0.0000 0.5000 Ni
0.5000 0.5000 0.5000 Ni
0.6460 0.6619 0.0587 Ni
0.6460 0.8381 0.0587 Ni
0.8540 0.1619 0.5587 Ni
0.8540 0.3381 0.5587 Ni
0.0730 0.5765 0.2264 N
0.0730 0.9235 0.2264 N
0.2224 0.7500 0.6547 N
0.2776 0.2500 0.1547 N
0.4270 0.0765 0.7264 N
0.4270 0.4235 0.7264 N
0.5730 0.5765 0.2736 N
0.5730 0.9235 0.2736 N
0.7224 0.7500 0.8453 N
0.7776 0.2500 0.3453 N
0.9270 0.0765 0.7736 N
0.9270 0.4235 0.7736 N
```

Main lines, by angle (10° ≤ 2θ ≤ 80°):
Position (°2θ)  I (rel.)
26.83  10
27.14  33
32.00  16
32.26  100
33.06  23
45.88  8
46.67  12
57.20  10
58.55  13
67.52  9

Calculated X-ray powder pattern of Ba2ZrNiN4 for Cu Kα, from a GGA-PBE-relaxed structure.
No peak broadening, texture or thermal motion is included.

Crystal structure
```
Ba2ZrNiN4
1.0
4.0067 0.0000 0.0000
0.0000 4.0067 0.0000
0.0000 0.0000 8.2958
Ba Zr Ni N
2 1 1 4
Direct
0.0000 0.0000 0.0000 Ba
0.5000 0.5000 0.3229 Ba
0.5000 0.5000 0.7087 Zr
0.0000 0.0000 0.5404 Ni
0.0000 0.0000 0.3171 N
0.0000 0.5000 0.6002 N
0.5000 0.0000 0.6002 N
0.5000 0.5000 0.9508 N
```

Main lines, by angle (10° ≤ 2θ ≤ 80°):
Position (°2θ)  I (rel.)
24.68  27
31.03  100
31.58  73
32.38  19
45.26  33
45.86  24
55.89  37
56.74  14
60.39  11
74.95  12

Calculated X-ray powder pattern of BaRe6N8O for Cu Kα, from a GGA-PBE-relaxed structure.
No peak broadening, texture or thermal motion is included.

Crystal structure
```
BaRe6N8O
1.0
-3.9182 5.1889 2.8313
3.9182 -5.1889 2.8313
3.9182 5.1889 -2.8313
Ba Re N O
1 6 8 1
Direct
0.0000 0.0000 0.0000 Ba
0.3228 0.6424 0.6804 Re
0.3880 0.2919 0.5608 Re
0.3880 0.8272 0.0961 Re
0.7312 0.2919 0.9039 Re
0.7312 0.8272 0.4392 Re
0.9620 0.6424 0.3196 Re
0.0633 0.2115 0.5026 N
0.0633 0.5607 0.8518 N
0.2411 0.9791 0.2619 N
0.5072 0.3058 0.7986 N
0.5072 0.7085 0.2014 N
0.7089 0.2115 0.1482 N
0.7089 0.5607 0.4974 N
0.7172 0.9791 0.7381 N
0.1835 0.6835 0.5000 O
```

Main lines, by angle (10° ≤ 2θ ≤ 80°):
Position (°2θ)  I (rel.)
17.09  63
19.34  23
28.20  48
29.02  100
30.28  33
31.60  55
38.17  97
46.35  26
52.44  36
60.68  23

Calculated X-ray powder pattern of BaTaNO for Cu Kα, from a GGA-PBE-relaxed structure.
No peak broadening, texture or thermal motion is included.

Crystal structure
```
BaTaNO
1.0
6.1009 0.0000 0.0000
0.0000 3.9970 0.0000
0.0000 0.0000 6.0511
Ba Ta N O
2 2 2 2
Direct
0.2500 0.0000 0.2217 Ba
0.7500 0.0000 0.7783 Ba
0.2500 0.5000 0.7030 Ta
0.7500 0.5000 0.2970 Ta
0.0000 0.5000 0.5000 N
0.5000 0.5000 0.5000 N
0.2500 0.0000 0.7650 O
0.7500 0.0000 0.2350 O
```

Main lines, by angle (10° ≤ 2θ ≤ 80°):
Position (°2θ)  I (rel.)
29.28  34
29.52  26
30.55  100
33.05  10
42.06  23
45.38  12
52.72  22
53.02  12
54.92  12
63.59  13

Calculated X-ray powder pattern of Ba2TaNO3 for Cu Kα, from a GGA-PBE-relaxed structure.
No peak broadening, texture or thermal motion is included.

Crystal structure
```
Ba2TaNO3
1.0
6.6972 -2.9303 0.0000
6.6972 2.9303 0.0000
0.0000 0.0000 5.8239
Ba Ta N O
4 2 2 6
Direct
0.0951 0.6143 0.7500 Ba
0.3857 0.9049 0.7500 Ba
0.6143 0.0951 0.2500 Ba
0.9049 0.3857 0.2500 Ba
0.2678 0.7322 0.2500 Ta
0.7322 0.2678 0.7500 Ta
0.5000 0.5000 0.0000 N
0.5000 0.5000 0.5000 N
0.0000 0.0000 0.0000 O
0.0000 0.0000 0.5000 O
0.0864 0.6105 0.2500 O
0.3895 0.9136 0.2500 O
0.6105 0.0864 0.7500 O
0.9136 0.3895 0.7500 O
```

Main lines, by angle (10° ≤ 2θ ≤ 80°):
Position (°2θ)  I (rel.)
13.22  20
29.46  100
30.51  29
30.70  30
40.12  14
40.40  12
43.83  28
53.57  18
53.82  19
61.10  18

Calculated X-ray powder pattern of BaTbNO for Cu Kα, from a GGA-PBE-relaxed structure.
No peak broadening, texture or thermal motion is included.

Crystal structure
```
BaTbNO
1.0
4.0085 0.0000 0.0000
0.0000 7.1370 0.0000
0.0000 0.0000 6.1428
Ba Tb N O
2 2 2 2
Direct
0.0000 0.1781 0.0000 Ba
0.0000 0.8219 0.5000 Ba
0.5000 0.3435 0.5044 Tb
0.5000 0.6565 0.0044 Tb
0.5000 0.3715 0.8616 N
0.5000 0.6285 0.3616 N
0.0000 0.1996 0.4393 O
0.0000 0.8004 0.9393 O
```

Main lines, by angle (10° ≤ 2θ ≤ 80°):
Position (°2θ)  I (rel.)
24.95  18
25.49  36
28.94  53
29.07  44
29.40  100
39.04  19
44.27  29
51.74  25
53.84  30
54.64  33

Calculated X-ray powder pattern of BaZrNO for Cu Kα, from a GGA-PBE-relaxed structure.
No peak broadening, texture or thermal motion is included.

Crystal structure
```
BaZrNO
1.0
6.8062 0.0000 0.0000
0.0000 8.1035 0.0000
0.0000 0.0000 5.7130
Ba Zr N O
4 4 4 4
Direct
0.0606 0.1391 0.0000 Ba
0.4394 0.1391 0.5000 Ba
0.5606 0.8609 0.0000 Ba
0.9394 0.8609 0.5000 Ba
0.0936 0.6094 0.9901 Zr
0.4064 0.6094 0.4901 Zr
0.5936 0.3906 0.9901 Zr
0.9064 0.3906 0.4901 Zr
0.1148 0.5585 0.6314 N
0.3852 0.5585 0.1314 N
0.6148 0.4415 0.6314 N
0.8852 0.4415 0.1314 N
0.0586 0.1732 0.4864 O
0.4414 0.1732 0.9864 O
0.5586 0.8268 0.4864 O
0.9414 0.8268 0.9864 O
```

Main lines, by angle (10° ≤ 2θ ≤ 80°):
Position (°2θ)  I (rel.)
25.59  29
26.19  24
30.06  100
30.58  37
31.31  41
41.27  14
45.84  24
54.96  20
55.16  16
56.56  24

Calculated X-ray powder pattern of Ba3Pd4N4 for Cu Kα, from a GGA-PBE-relaxed structure.
No peak broadening, texture or thermal motion is included.

Crystal structure
```
Ba3Pd4N4
1.0
3.8375 0.0000 0.0000
0.0000 3.8799 0.0000
0.0000 0.0000 14.2171
Ba Pd N
3 4 4
Direct
0.0000 0.0000 0.0000 Ba
0.5000 0.0000 0.3108 Ba
0.5000 0.0000 0.6892 Ba
0.0000 0.0000 0.5000 Pd
0.0000 0.5000 0.1641 Pd
0.0000 0.5000 0.8359 Pd
0.5000 0.5000 0.5000 Pd
0.0000 0.5000 0.4134 N
0.0000 0.5000 0.5866 N
0.5000 0.5000 0.1557 N
0.5000 0.5000 0.8443 N
```

Main lines, by angle (10° ≤ 2θ ≤ 80°):
Position (°2θ)  I (rel.)
24.02  32
29.76  78
35.23  100
37.98  33
39.44  23
41.73  33
46.83  22
47.38  22
56.96  24
62.32  37

Calculated X-ray powder pattern of BaPrN3 for Cu Kα, from a GGA-PBE-relaxed structure.
No peak broadening, texture or thermal motion is included.

Crystal structure
```
BaPrN3
1.0
7.2481 0.0000 0.0000
0.0000 3.7533 0.0000
-3.4633 0.0000 6.3803
Ba Pr N
2 2 6
Direct
0.0987 0.2500 0.2891 Ba
0.9013 0.7500 0.7109 Ba
0.4338 0.7500 0.7603 Pr
0.5662 0.2500 0.2397 Pr
0.1626 0.2500 0.6862 N
0.2715 0.2500 0.8959 N
0.4594 0.7500 0.4421 N
0.5406 0.2500 0.5579 N
0.7285 0.7500 0.1041 N
0.8374 0.7500 0.3138 N
```

Main lines, by angle (10° ≤ 2θ ≤ 80°):
Position (°2θ)  I (rel.)
24.57  40
27.57  100
27.98  65
34.40  34
37.04  69
37.51  37
45.33  17
49.25  22
56.38  17
56.93  18

Calculated X-ray powder pattern of Ba2YPtN6 for Cu Kα, from a GGA-PBE-relaxed structure.
No peak broadening, texture or thermal motion is included.

Crystal structure
```
Ba2YPtN6
1.0
6.0268 0.0000 0.0000
3.0108 5.2262 0.0000
3.0118 1.7393 4.9320
Ba Y Pt N
2 1 1 6
Direct
0.2500 0.2499 0.2502 Ba
0.7500 0.7501 0.7498 Ba
0.0000 0.0000 0.0000 Y
0.5000 0.5000 0.5000 Pt
0.2604 0.2720 0.7374 N
0.2670 0.7427 0.7250 N
0.2710 0.7307 0.2613 N
0.7290 0.2693 0.7387 N
0.7330 0.2573 0.2750 N
0.7396 0.7280 0.2626 N
```

Main lines, by angle (10° ≤ 2θ ≤ 80°):
Position (°2θ)  I (rel.)
18.00  9
29.61  100
34.87  5
42.37  27
52.53  34
52.59  7
61.45  14
69.68  15
69.75  3
77.43  3